The following is a simulated powder diffraction line list of La2ZrScAs4. It was derived from DFT lattice parameters and positions (GGA-PBE), using CuKα.
Intensities are scaled so that the largest is 100.

Largest 10 diffraction maxima, in order of rising 2θ, 2θ = 10–80°:
2θ 25.45, 3.499 Å, rel. 7; 2θ 30.74, 2.909 Å, rel. 100; 2θ 33.55, 2.671 Å, rel. 8; 2θ 43.90, 2.062 Å, rel. 34; 2θ 44.15, 2.051 Å, rel. 37; 2θ 54.33, 1.688 Å, rel. 5; 2θ 54.76, 1.676 Å, rel. 19; 2θ 64.02, 1.454 Å, rel. 11; 2θ 72.51, 1.304 Å, rel. 13; 2θ 72.87, 1.298 Å, rel. 16

Cell and atoms:
```
8
Lattice="7.105 0.000 0.000 0.000 4.103 0.000 -2.364 0.000 6.754" Properties=species:S:1:pos:R:3 pbc="T T T"
La 0.000 0.000 0.000
La 3.553 2.051 0.000
Zr -1.182 2.051 3.377
Sc 2.371 0.000 3.377
As 0.000 0.000 4.872
As 1.179 2.051 1.887
As 3.562 2.051 4.867
As 4.741 0.000 1.882
```

The following is a simulated powder diffraction line list of La6AsSe4. It was derived from DFT lattice parameters and positions (GGA-PBE), using CuKα.
Intensities are scaled so that the largest is 100.

Largest 10 diffraction maxima, in order of rising 2θ, 2θ = 10–80°:
2θ 23.27, 3.823 Å, rel. 30; 2θ 25.12, 3.546 Å, rel. 36; 2θ 29.21, 3.057 Å, rel. 22; 2θ 31.41, 2.848 Å, rel. 88; 2θ 32.84, 2.727 Å, rel. 77; 2θ 33.10, 2.706 Å, rel. 22; 2θ 34.67, 2.587 Å, rel. 100; 2θ 37.52, 2.397 Å, rel. 26; 2θ 39.49, 2.282 Å, rel. 29; 2θ 63.49, 1.465 Å, rel. 20

Cell and atoms:
```
22
Lattice="6.036 3.485 5.025 -6.036 3.485 5.025 0.000 -6.970 5.025" Properties=species:S:1:pos:R:3 pbc="T T T"
La -5.217 -1.389 8.309
La -1.406 -5.212 6.766
La -1.406 -1.758 5.797
La -3.811 3.823 6.766
La -0.820 2.097 5.797
La -2.226 0.338 9.279
La 2.226 -0.338 5.797
La 0.820 -2.097 9.279
La 3.811 -3.823 8.309
La 1.406 1.758 9.279
La 1.406 5.212 8.309
La 5.217 1.389 6.766
As 0.000 0.000 0.000
As 0.000 0.000 7.538
Se -3.687 0.584 6.282
Se 0.000 0.000 3.769
Se -2.349 -2.902 8.794
Se 1.338 -3.485 6.282
Se -1.338 3.485 8.794
Se 2.349 2.902 6.282
Se 0.000 0.000 11.307
Se 3.687 -0.583 8.794
```

The following is a simulated powder diffraction line list of La8SiAs5. It was derived from DFT lattice parameters and positions (GGA-PBE), using CuKα.
Intensities are scaled so that the largest is 100.

Largest 10 diffraction maxima, in order of rising 2θ, 2θ = 10–80°:
2θ 23.61, 3.768 Å, rel. 13; 2θ 27.33, 3.263 Å, rel. 14; 2θ 30.63, 2.919 Å, rel. 100; 2θ 36.42, 2.467 Å, rel. 63; 2θ 48.31, 1.884 Å, rel. 20; 2θ 50.42, 1.810 Å, rel. 33; 2θ 61.98, 1.497 Å, rel. 22; 2θ 63.78, 1.459 Å, rel. 12; 2θ 65.55, 1.424 Å, rel. 15; 2θ 75.73, 1.256 Å, rel. 14

Cell and atoms:
```
14
Lattice="-4.614 4.614 4.615 4.614 -4.614 4.615 4.614 4.614 -4.615" Properties=species:S:1:pos:R:3 pbc="T T T"
La 4.008 2.924 -2.838
La 3.986 1.677 0.514
La 0.606 1.690 1.777
La 2.937 -0.628 4.101
La 1.677 5.242 -0.514
La 1.690 -0.606 7.453
La 2.924 5.221 2.838
La 0.628 2.937 5.130
Si 0.000 4.614 2.308
As -2.294 3.459 5.770
As 1.156 2.320 -1.155
As 6.908 1.156 1.155
As 0.000 0.000 4.615
As 3.459 2.294 3.460
```

The following is a simulated powder diffraction line list of La4SiAs. It was derived from DFT lattice parameters and positions (GGA-PBE), using CuKα.
Intensities are scaled so that the largest is 100.

Largest 10 diffraction maxima, in order of rising 2θ, 2θ = 10–80°:
2θ 17.31, 5.123 Å, rel. 55; 2θ 33.50, 2.675 Å, rel. 100; 2θ 35.03, 2.561 Å, rel. 73; 2θ 40.67, 2.218 Å, rel. 23; 2θ 44.51, 2.036 Å, rel. 15; 2θ 53.67, 1.708 Å, rel. 35; 2θ 58.88, 1.569 Å, rel. 34; 2θ 61.86, 1.500 Å, rel. 11; 2θ 69.46, 1.353 Å, rel. 12; 2θ 70.38, 1.338 Å, rel. 28

Cell and atoms:
```
6
Lattice="0.000 4.437 4.437 4.437 0.000 4.437 4.437 4.437 0.000" Properties=species:S:1:pos:R:3 pbc="T T T"
La 1.105 1.105 1.105
La 3.332 3.332 1.105
La 3.332 1.105 3.332
La 1.105 3.332 3.332
Si 6.655 6.655 6.655
As 4.437 4.437 4.437
```

The following is a simulated powder diffraction line list of La3SmAs3. It was derived from DFT lattice parameters and positions (GGA-PBE), using CuKα.
Intensities are scaled so that the largest is 100.

Largest 10 diffraction maxima, in order of rising 2θ, 2θ = 10–80°:
2θ 23.83, 3.734 Å, rel. 9; 2θ 27.58, 3.234 Å, rel. 13; 2θ 30.92, 2.892 Å, rel. 100; 2θ 36.77, 2.445 Å, rel. 62; 2θ 48.77, 1.867 Å, rel. 18; 2θ 50.91, 1.794 Å, rel. 32; 2θ 62.61, 1.484 Å, rel. 22; 2θ 64.42, 1.446 Å, rel. 12; 2θ 66.22, 1.411 Å, rel. 14; 2θ 76.54, 1.245 Å, rel. 15

Cell and atoms:
```
28
Lattice="9.147 0.000 0.000 0.000 9.147 0.000 0.000 0.000 9.147" Properties=species:S:1:pos:R:3 pbc="T T T"
La 0.605 3.968 5.179
La 1.667 1.667 1.667
La 1.662 7.485 2.911
La 2.911 1.662 7.485
La 2.906 7.479 6.241
La 3.968 5.179 0.605
La 5.179 0.605 3.968
La 6.241 2.906 7.479
La 6.235 6.235 6.235
La 7.485 2.911 1.662
La 7.479 6.241 2.906
La 8.541 8.541 8.541
Sm 0.605 5.179 8.542
Sm 3.968 3.968 3.968
Sm 5.179 8.542 0.605
Sm 8.542 0.605 5.179
As 0.008 2.319 7.972
As 1.175 4.581 2.254
As 2.254 1.175 4.581
As 2.319 7.972 0.008
As 3.399 4.566 6.827
As 4.566 6.827 3.399
As 4.581 2.254 1.175
As 5.748 9.139 6.893
As 6.827 3.399 4.566
As 6.893 5.748 9.139
As 7.972 0.008 2.319
As 9.139 6.893 5.748
```

The following is a simulated powder diffraction line list of La3TbSm2As6. It was derived from DFT lattice parameters and positions (GGA-PBE), using CuKα.
Intensities are scaled so that the largest is 100.

Largest 10 diffraction maxima, in order of rising 2θ, 2θ = 10–80°:
2θ 12.66, 6.994 Å, rel. 1; 2θ 25.47, 3.497 Å, rel. 17; 2θ 29.49, 3.029 Å, rel. 100; 2θ 42.20, 2.142 Å, rel. 75; 2θ 49.94, 1.826 Å, rel. 9; 2θ 52.32, 1.749 Å, rel. 27; 2θ 61.21, 1.514 Å, rel. 12; 2θ 67.39, 1.390 Å, rel. 4; 2θ 69.39, 1.354 Å, rel. 34; 2θ 77.14, 1.236 Å, rel. 25

Cell and atoms:
```
12
Lattice="3.710 -6.425 0.000 3.710 6.425 0.000 -2.472 0.000 6.994" Properties=species:S:1:pos:R:3 pbc="T T T"
La 0.000 0.000 0.000
La 3.710 2.148 0.000
La 3.710 -2.148 0.000
Tb 2.474 0.000 3.497
Sm 2.474 4.286 3.497
Sm 2.474 -4.286 3.497
As 1.246 2.126 1.813
As 0.020 0.000 5.184
As 1.246 -2.126 1.813
As 3.701 2.126 5.181
As 4.928 0.000 1.810
As 3.701 -2.126 5.181
```

The following is a simulated powder diffraction line list of SrLaAs. It was derived from DFT lattice parameters and positions (GGA-PBE), using CuKα.
Intensities are scaled so that the largest is 100.

Largest 10 diffraction maxima, in order of rising 2θ, 2θ = 10–80°:
2θ 12.26, 7.222 Å, rel. 27; 2θ 24.65, 3.611 Å, rel. 11; 2θ 26.70, 3.339 Å, rel. 100; 2θ 34.41, 2.606 Å, rel. 44; 2θ 41.54, 2.174 Å, rel. 32; 2θ 44.68, 2.028 Å, rel. 27; 2θ 50.07, 1.822 Å, rel. 18; 2θ 55.00, 1.669 Å, rel. 11; 2θ 67.02, 1.396 Å, rel. 15; 2θ 67.43, 1.389 Å, rel. 13

Cell and atoms:
```
3
Lattice="4.348 0.000 0.000 -2.174 3.766 0.000 0.000 0.000 7.222" Properties=species:S:1:pos:R:3 pbc="T T T"
Sr 0.000 0.000 0.000
La 0.000 2.510 3.496
As 2.174 1.255 1.937
```

The following is a simulated powder diffraction line list of La5TbAs6. It was derived from DFT lattice parameters and positions (GGA-PBE), using CuKα.
Intensities are scaled so that the largest is 100.

Largest 9 diffraction maxima, in order of rising 2θ, 2θ = 10–80°:
2θ 25.14, 3.542 Å, rel. 16; 2θ 29.11, 3.068 Å, rel. 100; 2θ 41.64, 2.169 Å, rel. 75; 2θ 49.26, 1.850 Å, rel. 8; 2θ 51.61, 1.771 Å, rel. 27; 2θ 60.35, 1.534 Å, rel. 12; 2θ 66.42, 1.407 Å, rel. 3; 2θ 68.38, 1.372 Å, rel. 34; 2θ 75.99, 1.252 Å, rel. 25

Cell and atoms:
```
12
Lattice="3.757 -6.507 0.000 3.757 6.507 0.000 -2.506 0.000 7.083" Properties=species:S:1:pos:R:3 pbc="T T T"
La 0.000 0.000 0.000
La 2.504 4.343 3.542
La 3.757 2.180 0.000
La 3.757 -2.180 0.000
La 2.504 -4.343 3.542
Tb 2.504 0.000 3.542
As 1.278 2.126 1.802
As 0.050 0.000 5.288
As 1.278 -2.126 1.802
As 3.731 2.126 5.281
As 4.959 0.000 1.796
As 3.731 -2.126 5.281
```

The following is a simulated powder diffraction line list of La4TbAs5. It was derived from DFT lattice parameters and positions (GGA-PBE), using CuKα.
Intensities are scaled so that the largest is 100.

Largest 9 diffraction maxima, in order of rising 2θ, 2θ = 10–80°:
2θ 25.18, 3.536 Å, rel. 16; 2θ 29.16, 3.063 Å, rel. 100; 2θ 41.71, 2.166 Å, rel. 75; 2θ 49.35, 1.847 Å, rel. 8; 2θ 51.70, 1.768 Å, rel. 27; 2θ 60.46, 1.531 Å, rel. 12; 2θ 66.54, 1.405 Å, rel. 3; 2θ 68.51, 1.370 Å, rel. 34; 2θ 76.14, 1.250 Å, rel. 25

Cell and atoms:
```
10
Lattice="-4.841 4.841 3.064 4.841 -4.841 3.064 4.841 4.841 -3.064" Properties=species:S:1:pos:R:3 pbc="T T T"
La 6.784 0.954 0.000
La 0.954 2.898 0.000
La 3.887 1.943 3.064
La -1.943 3.887 3.064
Tb 0.000 0.000 3.064
As 0.000 0.000 0.000
As 3.894 1.999 0.000
As 2.842 -0.947 3.064
As 1.999 5.788 0.000
As 0.947 2.842 3.064
```

The following is a simulated powder diffraction line list of LaTb3As4. It was derived from DFT lattice parameters and positions (GGA-PBE), using CuKα.
Intensities are scaled so that the largest is 100.

Largest 10 diffraction maxima, in order of rising 2θ, 2θ = 10–80°:
2θ 12.91, 6.859 Å, rel. 1; 2θ 25.98, 3.430 Å, rel. 20; 2θ 30.09, 2.970 Å, rel. 100; 2θ 43.07, 2.100 Å, rel. 75; 2θ 50.99, 1.791 Å, rel. 10; 2θ 53.43, 1.715 Å, rel. 26; 2θ 62.55, 1.485 Å, rel. 12; 2θ 68.90, 1.363 Å, rel. 4; 2θ 70.96, 1.328 Å, rel. 34; 2θ 78.96, 1.213 Å, rel. 25

Cell and atoms:
```
8
Lattice="4.202 -5.936 0.000 4.202 5.936 0.000 0.000 0.000 4.202" Properties=species:S:1:pos:R:3 pbc="T T T"
La 0.000 0.000 0.000
Tb 2.101 2.968 2.101
Tb 2.101 -2.968 2.101
Tb 4.202 0.000 0.000
As 4.202 2.921 0.000
As 2.169 0.000 2.101
As 6.234 0.000 2.101
As 4.202 -2.921 0.000
```

The following is a simulated powder diffraction line list of LaTb3Th4As8. It was derived from DFT lattice parameters and positions (GGA-PBE), using CuKα.
Intensities are scaled so that the largest is 100.

Largest 10 diffraction maxima, in order of rising 2θ, 2θ = 10–80°:
2θ 25.78, 3.456 Å, rel. 25; 2θ 29.89, 2.989 Å, rel. 100; 2θ 42.70, 2.118 Å, rel. 38; 2θ 42.87, 2.110 Å, rel. 38; 2θ 50.60, 1.804 Å, rel. 13; 2θ 52.99, 1.728 Å, rel. 20; 2θ 62.11, 1.495 Å, rel. 13; 2θ 70.32, 1.339 Å, rel. 17; 2θ 70.56, 1.335 Å, rel. 17; 2θ 78.30, 1.221 Å, rel. 13

Cell and atoms:
```
16
Lattice="4.235 2.445 6.877 -4.235 2.445 6.877 0.000 -4.890 6.877" Properties=species:S:1:pos:R:3 pbc="T T T"
La 0.000 0.000 0.000
Tb -2.118 -1.223 6.877
Tb -2.118 1.223 13.753
Tb 0.000 2.445 6.877
Th -4.235 0.000 10.315
Th -2.118 1.223 3.438
Th 2.118 1.223 3.438
Th 0.000 0.000 10.315
As 0.000 0.000 5.196
As 0.000 -2.407 8.585
As -2.085 1.204 8.585
As -2.085 -1.204 12.045
As 2.085 1.204 8.585
As 2.085 -1.204 12.045
As 0.000 2.407 12.045
As 0.000 0.000 15.434
```

The following is a simulated powder diffraction line list of La4Te3As. It was derived from DFT lattice parameters and positions (GGA-PBE), using CuKα.
Intensities are scaled so that the largest is 100.

Largest 10 diffraction maxima, in order of rising 2θ, 2θ = 10–80°:
2θ 27.85, 3.203 Å, rel. 100; 2θ 39.51, 2.281 Å, rel. 36; 2θ 40.09, 2.249 Å, rel. 38; 2θ 48.54, 1.876 Å, rel. 6; 2θ 49.52, 1.841 Å, rel. 20; 2θ 57.55, 1.601 Å, rel. 12; 2θ 64.71, 1.441 Å, rel. 16; 2θ 65.53, 1.424 Å, rel. 17; 2θ 72.45, 1.305 Å, rel. 12; 2θ 72.84, 1.299 Å, rel. 6

Cell and atoms:
```
8
Lattice="2.249 1.299 15.005 -2.249 1.299 15.005 0.000 -2.597 15.005" Properties=species:S:1:pos:R:3 pbc="T T T"
La 0.000 0.000 5.612
La 0.000 0.000 16.636
La 0.000 0.000 28.379
La 0.000 0.000 39.402
Te 0.000 0.000 11.349
Te 0.000 0.000 22.507
Te 0.000 0.000 33.666
As 0.000 0.000 0.000
```